# CuAg9
Simulated powder XRD pattern, Cu Ka. Input: a PBE-relaxed structure.
Lines closer than 0.1° are merged.

Peak list (8 most intense, 10 to 80 degrees two-theta, most intense first)
2θ 37.9, d 2.371, I 100, (1 1 -3)
2θ 43.7, d 2.071, I 45, (3 1 1)
2θ 37.8, d 2.378, I 37, (2 0 4)
2θ 44.8, d 2.024, I 19, (2 0 -6)
2θ 76.5, d 1.245, I 15, (4 2 -2)
2θ 63.5, d 1.465, I 14, (0 2 0)
2θ 64.3, d 1.450, I 13, (1 1 7)
2θ 64.5, d 1.446, I 11, (5 1 -5)

Structural model:
Unit cell a=9.6667 b=2.9273 c=12.5028 alpha=90.00 beta=100.98 gamma=90.00
Space group C2/m (No. 12)
Unique sites:
Cu1 0.0000 0.0000 0.0000 x2
Ag1 0.0000 0.5000 0.5000 x2
Ag2 0.0943 0.0000 0.7038 x4
Ag3 0.1066 0.5000 0.1882 x4
Ag4 0.1867 0.5000 0.9063 x4
Ag5 0.2021 0.0000 0.3968 x4



# Cu5Ag3
Simulated powder XRD pattern, Cu Ka. Input: a PBE-relaxed structure.
Lines closer than 0.1° are merged.

Peak list (8 most intense, 10 to 80 degrees two-theta, most intense first)
2θ 40.5, d 2.227, I 100, (1 0 -3)
2θ 46.7, d 1.944, I 45, (2 1 -2)
2θ 41.2, d 2.192, I 31, (3 0 -1)
2θ 48.5, d 1.877, I 17, (2 0 2)
2θ 69.2, d 1.358, I 11, (0 1 4)
2θ 70.0, d 1.343, I 10, (4 1 0)
2θ 67.6, d 1.385, I 7, (0 2 0)
2θ 68.8, d 1.365, I 6, (4 0 -4)

Structural model:
Unit cell a=6.5805 b=2.7699 c=6.6744 alpha=90.00 beta=110.97 gamma=90.00
Space group P2/m (No. 10)
Unique sites:
Cu1 0.0000 0.0000 0.0000 x1
Cu2 0.2788 0.0000 0.7747 x2
Cu3 0.3661 0.5000 0.1101 x2
Ag1 0.1046 0.5000 0.3593 x2
Ag2 0.5000 0.0000 0.5000 x1



# Cu3Ag5
Simulated powder XRD pattern, Cu Ka. Input: a PBE-relaxed structure.
Lines closer than 0.1° are merged.

Peak list (8 most intense, 10 to 80 degrees two-theta, most intense first)
2θ 39.2, d 2.296, I 100, (1 0 2)
2θ 44.9, d 2.018, I 34, (1 2 0)
2θ 67.1, d 1.395, I 18, (1 2 4)
2θ 47.0, d 1.932, I 14, (0 0 4)
2θ 79.0, d 1.213, I 12, (2 2 2)
2θ 79.1, d 1.211, I 12, (1 4 2)
2θ 65.3, d 1.428, I 5, (2 0 0)
2θ 65.5, d 1.425, I 5, (0 4 0)

Structural model:
Unit cell a=2.8569 b=5.7017 c=7.7273 alpha=90.00 beta=90.00 gamma=90.00
Space group Pmmm (No. 47)
Unique sites:
Cu1 0.0000 0.0000 0.0000 x1
Cu2 0.0000 0.0000 0.5000 x1
Cu3 0.0000 0.5000 0.0000 x1
Ag1 0.0000 0.5000 0.5000 x1
Ag2 0.5000 0.2449 0.2387 x4